Starting from a DFT-relaxed cell (PBE, OQMD), the X-ray diffraction stick pattern of Na3H6Pd was simulated for Cu Kα (λ = 1.5418 Å).

Largest 8 diffraction maxima, low angle first, 10° ≤ 2θ ≤ 90°:
2θ (°), Rel. int.
20.30, 54
23.48, 30
33.45, 100
39.44, 27
48.03, 19
52.65, 12
59.79, 35
80.10, 14

Crystal structure
Cell: 5.358 5.358 5.358 Å, 60.00 60.00 60.00°
Fractional positions:
Na1 0.000 0.000 0.000
Na2 0.250 0.250 0.250
Na3 0.750 0.750 0.750
H1 0.277 0.277 0.723
H2 0.277 0.723 0.277
H3 0.277 0.723 0.723
H4 0.723 0.277 0.277
H5 0.723 0.277 0.723
H6 0.723 0.723 0.277
Pd1 0.500 0.500 0.500